# 1
Nd4Bi2S9: calculated X-ray diffraction stick pattern (copper Kα), based on DFT lattice parameters and positions (PBE).

Peak list (8 most intense, 2θ from 10° to 80°, low angle first)
24.26 deg, I = 100, (4 0 3); 25.03 deg, I = 50, (8 0 0); 25.25 deg, I = 43, (3 1 1); 26.54 deg, I = 27, (1 1 2); 28.24 deg, I = 28, (5 1 1); 34.51 deg, I = 47, (7 1 2); 42.24 deg, I = 33, (0 0 6); 43.63 deg, I = 29, (12 0 3)

Crystal structure
a b c (Å): 28.459 3.978 12.847
angles (deg): 90.00 90.00 90.00
Fractional coordinates of all 60 atoms:
1 Nd 0.054 0.250 0.242
2 Nd 0.180 0.750 0.758
3 Nd 0.188 0.250 0.106
4 Nd 0.194 0.750 0.425
5 Nd 0.306 0.250 0.925
6 Nd 0.312 0.750 0.606
7 Nd 0.320 0.250 0.258
8 Nd 0.446 0.750 0.742
9 Nd 0.554 0.250 0.258
10 Nd 0.680 0.750 0.742
11 Nd 0.688 0.250 0.394
12 Nd 0.694 0.750 0.075
13 Nd 0.806 0.250 0.575
14 Nd 0.812 0.750 0.894
15 Nd 0.820 0.250 0.242
16 Nd 0.946 0.750 0.758
17 Bi 0.059 0.250 0.571
18 Bi 0.066 0.750 0.939
19 Bi 0.434 0.250 0.439
20 Bi 0.441 0.750 0.071
21 Bi 0.559 0.250 0.929
22 Bi 0.566 0.750 0.561
23 Bi 0.934 0.250 0.061
24 Bi 0.941 0.750 0.429
25 S 0.004 0.750 0.113
26 S 0.043 0.750 0.400
27 S 0.058 0.750 0.711
28 S 0.114 0.750 0.124
29 S 0.136 0.250 0.895
30 S 0.149 0.250 0.315
31 S 0.157 0.250 0.591
32 S 0.230 0.750 0.961
33 S 0.245 0.750 0.228
34 S 0.255 0.250 0.728
35 S 0.270 0.250 0.461
36 S 0.343 0.750 0.091
37 S 0.351 0.750 0.815
38 S 0.364 0.750 0.395
39 S 0.386 0.250 0.624
40 S 0.442 0.250 0.211
41 S 0.457 0.250 0.900
42 S 0.496 0.250 0.613
43 S 0.504 0.750 0.387
44 S 0.543 0.750 0.100
45 S 0.558 0.750 0.789
46 S 0.614 0.750 0.376
47 S 0.636 0.250 0.605
48 S 0.649 0.250 0.185
49 S 0.657 0.250 0.909
50 S 0.730 0.750 0.539
51 S 0.745 0.750 0.272
52 S 0.755 0.250 0.772
53 S 0.770 0.250 0.039
54 S 0.843 0.750 0.409
55 S 0.851 0.750 0.685
56 S 0.864 0.750 0.105
57 S 0.886 0.250 0.876
58 S 0.942 0.250 0.289
59 S 0.957 0.250 0.600
60 S 0.996 0.250 0.887

***

# 2
NiBi: calculated X-ray diffraction stick pattern (copper Kα), based on DFT lattice parameters and positions (PBE).

Peak list (8 most intense, 2θ from 10° to 80°, low angle first)
24.57 deg, I = 17, (0 0 2); 28.70 deg, I = 55, (1 0 0); 38.13 deg, I = 100, (1 0 2); 50.85 deg, I = 28, (1 1 0); 57.26 deg, I = 12, (1 1 2); 59.00 deg, I = 16, (1 0 4); 65.29 deg, I = 21, (2 0 2); 74.38 deg, I = 18, (1 1 4)

Crystal structure
a b c (Å): 3.591 3.591 7.247
angles (deg): 90.00 90.00 120.00
Fractional coordinates of all 4 atoms:
1 Ni 0.333 0.667 0.250
2 Ni 0.667 0.333 0.750
3 Bi 0.000 0.000 0.000
4 Bi 0.000 0.000 0.500

***

# 3
NiBi3: calculated X-ray diffraction stick pattern (copper Kα), based on DFT lattice parameters and positions (PBE).

Peak list (8 most intense, 2θ from 10° to 80°, low angle first)
28.28 deg, I = 45, (1 1 2); 29.38 deg, I = 100, (2 1 0); 30.70 deg, I = 46, (2 0 3); 31.67 deg, I = 82, (0 1 3); 33.95 deg, I = 69, (3 0 2); 43.22 deg, I = 43, (2 1 4); 43.52 deg, I = 41, (0 2 0); 58.58 deg, I = 40, (5 1 2)

Crystal structure
a b c (Å): 8.909 4.159 11.547
angles (deg): 90.00 90.00 90.00
Fractional coordinates of all 16 atoms:
1 Ni 0.089 0.250 0.019
2 Ni 0.411 0.750 0.519
3 Ni 0.589 0.250 0.481
4 Ni 0.911 0.750 0.981
5 Bi 0.089 0.750 0.177
6 Bi 0.120 0.750 0.592
7 Bi 0.202 0.750 0.891
8 Bi 0.298 0.250 0.391
9 Bi 0.380 0.250 0.092
10 Bi 0.411 0.250 0.677
11 Bi 0.589 0.750 0.323
12 Bi 0.620 0.750 0.908
13 Bi 0.702 0.750 0.609
14 Bi 0.798 0.250 0.109
15 Bi 0.880 0.250 0.408
16 Bi 0.911 0.250 0.823

***

# 4
Ni3Bi: calculated X-ray diffraction stick pattern (copper Kα), based on DFT lattice parameters and positions (PBE).

Peak list (8 most intense, 2θ from 10° to 80°, low angle first)
23.27 deg, I = 38, (1 0 0); 33.15 deg, I = 33, (1 1 0); 40.90 deg, I = 100, (1 1 1); 47.58 deg, I = 48, (2 0 0); 53.62 deg, I = 18, (2 1 0); 59.22 deg, I = 14, (2 1 1); 69.57 deg, I = 30, (2 2 0); 74.47 deg, I = 9, (3 0 0)

Crystal structure
a b c (Å): 3.822 3.822 3.822
angles (deg): 90.00 90.00 90.00
Fractional coordinates of all 4 atoms:
1 Ni 0.000 0.000 0.500
2 Ni 0.000 0.500 0.000
3 Ni 0.500 0.000 0.000
4 Bi 0.500 0.500 0.500